# CuPd2
Computed XRD peak list, Cu Ka. Input: a DFT-relaxed cell (PBE, Alexandria).
Lines closer than 0.1° are merged.

The 9 most intense peaks (2θ from 5° to 70°), by intensity:
40.6°, d 2.224, rel. 1000
46.4°, d 1.959, rel. 343
69.6°, d 1.351, rel. 183
48.8°, d 1.865, rel. 138
67.6°, d 1.385, rel. 131
33.3°, d 2.689, rel. 48
32.0°, d 2.798, rel. 31
57.4°, d 1.605, rel. 24
15.8°, d 5.596, rel. 16

Unit cell a=5.9293 b=5.9293 c=5.9293 alpha=152.98 beta=152.98 gamma=38.58
Element x y z (fractional)
Cu1 0.0000 0.0000 0.0000
Pd1 0.3407 0.3407 0.0000
Pd2 0.6593 0.6593 0.0000